Pa2PbS6: theoretical powder X-ray diffraction pattern (Cu Ka), based on a PBE-relaxed structure.
Kinematic intensities with the Lorentz-polarization factor, no thermal factor.

```
Pa2PbS6
1.0
3.611 -5.943 0.000
3.611 5.943 0.000
-3.334 0.000 6.721
Pa Pb S
2 1 6
Direct
0.170 0.830 0.000
0.830 0.170 0.000
0.000 0.000 0.500
0.030 0.394 0.789
0.206 0.206 0.233
0.394 0.030 0.789
0.606 0.970 0.211
0.794 0.794 0.767
0.970 0.606 0.211
```

The 8 most intense peaks (2θ from 10° to 90°), by intensity:
Position (°2θ)  I/Imax
15.6  100
32.3  61
19.9  59
28.6  37
26.6  30
13.2  30
40.4  26
43.0  24